# CaPt2
Computed X-ray diffraction stick pattern, λ = 1.5418 Å (Cu Kα). Input: a structure optimized by DFT (PBE).
Intensities are scaled so that the largest is 100.

Structural model:
Unit cell a=5.4535 b=5.4535 c=5.4535 alpha=60.00 beta=60.00 gamma=60.00
Positions (direct):
1 Ca 0.1250 0.1250 0.1250
2 Ca 0.8750 0.8750 0.8750
3 Pt 0.0000 0.5000 0.5000
4 Pt 0.5000 0.0000 0.5000
5 Pt 0.5000 0.5000 0.0000
6 Pt 0.5000 0.5000 0.5000

Principal peaks in the range 10° ≤ 2θ ≤ 80°, in order of rising 2θ:
d/Å, intensity
4.453, 92.7
2.727, 2.9
2.325, 100.0
2.226, 88.4
1.928, 34.7
1.769, 24.2
1.574, 0.9
1.484, 32.6
1.363, 34.2
1.304, 18.2

# Pa6SbAs5
Computed X-ray diffraction stick pattern, λ = 1.5418 Å (Cu Kα). Input: a structure optimized by DFT (PBE).
Intensities are scaled so that the largest is 100.

Structural model:
Unit cell a=7.1686 b=7.1686 c=7.1701 alpha=99.61 beta=99.61 gamma=119.97
Positions (direct):
1 Pa 0.0667 0.4129 0.7401
2 Pa 0.2373 0.2373 0.2535
3 Pa 0.4129 0.0667 0.7401
4 Pa 0.5871 0.9333 0.2599
5 Pa 0.7627 0.7627 0.7465
6 Pa 0.9333 0.5871 0.2599
7 Sb 0.5000 0.5000 0.0000
8 As 0.0000 0.0000 0.5000
9 As 0.1683 0.8317 0.0000
10 As 0.3405 0.6595 0.5000
11 As 0.6595 0.3405 0.5000
12 As 0.8317 0.1683 0.0000

Principal peaks in the range 10° ≤ 2θ ≤ 80°, in order of rising 2θ:
d/Å, intensity
3.380, 38.6
2.927, 100.0
2.286, 0.7
2.217, 0.6
2.070, 74.8
1.765, 18.9
1.690, 26.3
1.463, 12.1
1.343, 7.7
1.309, 33.1

# Pa4SN3
Computed X-ray diffraction stick pattern, λ = 1.5418 Å (Cu Kα). Input: a structure optimized by DFT (PBE).
Intensities are scaled so that the largest is 100.

Structural model:
Unit cell a=3.4516 b=3.4516 c=12.8535 alpha=90.00 beta=90.00 gamma=120.00
Positions (direct):
1 Pa 0.3333 0.6667 0.3486
2 Pa 0.3333 0.6667 0.8835
3 Pa 0.6667 0.3333 0.1165
4 Pa 0.6667 0.3333 0.6514
5 S 0.0000 0.0000 0.5000
6 N 0.0000 0.0000 0.0000
7 N 0.0000 0.0000 0.2359
8 N 0.0000 0.0000 0.7641

Principal peaks in the range 10° ≤ 2θ ≤ 80°, in order of rising 2θ:
d/Å, intensity
3.213, 23.2
2.989, 15.6
2.710, 100.0
2.451, 7.2
2.189, 23.1
1.741, 16.8
1.726, 21.8
1.565, 8.8
1.520, 17.0
1.456, 15.6